Computed powder XRD pattern
Compound: Li2VCO5
Radiation: CuKα
Structure: a DFT-relaxed cell (PBE+U, the Materials Project)

Most intense lines, 15 to 90 degrees two-theta, low angle first:
17.50 deg, rel. 66
18.83 deg, rel. 100
29.74 deg, rel. 30
30.41 deg, rel. 35
35.43 deg, rel. 28
36.01 deg, rel. 53
42.21 deg, rel. 22
44.84 deg, rel. 43
58.89 deg, rel. 19
60.32 deg, rel. 20

Cell lengths 9.4261, 12.0177, 2.9397 Å; angles 90.00, 90.00, 90.00 degrees
Fractional positions:
Li  0.0000  0.0000  0.0000
Li  0.0000  0.5000  0.5000
Li  0.0048  0.2182  0.5000
Li  0.4952  0.7182  0.5000
Li  0.5000  0.0000  0.5000
Li  0.5000  0.5000  0.0000
Li  0.5048  0.2818  0.5000
Li  0.9952  0.7818  0.5000
V  0.2432  0.3872  0.0000
V  0.2568  0.8872  0.0000
V  0.7432  0.1128  0.0000
V  0.7568  0.6128  0.0000
C  0.2328  0.6389  0.0000
C  0.2672  0.1389  0.0000
C  0.7328  0.8611  0.0000
C  0.7672  0.3611  0.0000
O  0.1178  0.3572  0.5000
O  0.1277  0.9209  0.5000
O  0.1327  0.1380  0.0000
O  0.1570  0.5467  0.0000
O  0.1607  0.7325  0.0000
O  0.3393  0.2325  0.0000
O  0.3430  0.0467  0.0000
O  0.3673  0.6380  0.0000
O  0.3723  0.4209  0.5000
O  0.3822  0.8572  0.5000
O  0.6178  0.1428  0.5000
O  0.6277  0.5791  0.5000
O  0.6327  0.3620  0.0000
O  0.6570  0.9533  0.0000
O  0.6607  0.7675  0.0000
O  0.8393  0.2675  0.0000
O  0.8430  0.4533  0.0000
O  0.8673  0.8620  0.0000
O  0.8723  0.0791  0.5000
O  0.8822  0.6428  0.5000